Starting from a cell relaxed with GGA+U, the X-ray diffraction stick pattern of Mg6CdNiO8 was simulated for Cu Ka.

Main lines, in order of falling intensity (2θ from 15° to 90°):
d_spacing	I/Imax	hkl
2.173	100	2 0 0
1.537	58	2 2 0
4.347	50	0 0 2
3.073	42	1 0 2
2.509	40	1 1 2
1.944	22	2 0 2
1.255	18	2 2 4
1.774	16	2 1 2
1.311	12	3 1 2
1.449	9	2 2 2
3.889	6	1 0 1
1.309	6	1 1 6

```
Mg6CdNiO8
1.0
4.3495 0.0000 0.0000
0.0000 4.3495 0.0000
0.0000 0.0000 8.6815
Mg Cd Ni O
6 1 1 8
Direct
0.0000 0.0000 0.0000
0.0000 0.0000 0.5000
0.0000 0.5000 0.2427
0.0000 0.5000 0.7573
0.5000 0.0000 0.2427
0.5000 0.0000 0.7573
0.5000 0.5000 0.5000
0.5000 0.5000 0.0000
0.0000 0.0000 0.2495
0.0000 0.0000 0.7505
0.0000 0.5000 0.0000
0.0000 0.5000 0.5000
0.5000 0.0000 0.0000
0.5000 0.0000 0.5000
0.5000 0.5000 0.2331
0.5000 0.5000 0.7669
```